(1)
Calculated powder diffraction line list
Compound: SrCaAl4
Radiation: Cu Kα (weighted mean of Kα1 and Kα2)
Structure: a cell relaxed with PBE
No peak broadening, texture or thermal motion is included.

Structure:
Cell: 5.7638 5.7638 5.7638 Å, 60.00 60.00 60.00°
Sites, in units of the cell vectors:
1 Sr 0.0000 0.0000 0.0000
2 Ca 0.7500 0.7500 0.7500
3 Al 0.3752 0.3752 0.3752
4 Al 0.3752 0.3752 0.8744
5 Al 0.3752 0.8744 0.3752
6 Al 0.8744 0.3752 0.3752

Peak list (12 most intense, 10° ≤ 2θ ≤ 80°, in order of rising 2θ)
2theta  Rel. int.
18.86  18
21.81  8
31.03  60
36.56  100
38.25  18
48.69  5
55.20  22
58.87  32
64.69  23
73.48  9
76.66  11
77.71  7

(2)
Calculated powder diffraction line list
Compound: CaAl6Te10
Radiation: Cu Kα (weighted mean of Kα1 and Kα2)
Structure: a cell relaxed with PBE
No peak broadening, texture or thermal motion is included.

Structure:
Cell: 9.8697 10.7976 11.6318 Å, 87.19 87.31 89.29°
Sites, in units of the cell vectors:
1 Ca 0.0000 0.0000 0.0000
2 Ca 0.2656 0.5196 0.2272
3 Al 0.1497 0.9370 0.6732
4 Al 0.2452 0.2373 0.7378
5 Al 0.2510 0.1471 0.3833
6 Al 0.2714 0.4981 0.5843
7 Al 0.2846 0.8324 0.8569
8 Al 0.3567 0.8200 0.3232
9 Al 0.3904 0.6142 0.8361
10 Al 0.4197 0.8600 0.6426
11 Al 0.4585 0.9412 0.0657
12 Al 0.6767 0.6609 0.1108
13 Al 0.7110 0.0734 0.3903
14 Al 0.8830 0.3298 0.2128
15 Te 0.0118 0.1422 0.7066
16 Te 0.0262 0.7830 0.8215
17 Te 0.1117 0.5950 0.4406
18 Te 0.1468 0.2565 0.2014
19 Te 0.1491 0.9212 0.4445
20 Te 0.1774 0.4602 0.8079
21 Te 0.2381 0.7985 0.1197
22 Te 0.3084 0.0744 0.9176
23 Te 0.3886 0.2710 0.5408
24 Te 0.4763 0.0465 0.2704
25 Te 0.5037 0.6198 0.6246
26 Te 0.5152 0.4939 0.0114
27 Te 0.5405 0.6421 0.3164
28 Te 0.6342 0.9953 0.6043
29 Te 0.6679 0.8501 0.9589
30 Te 0.6903 0.3484 0.8793
31 Te 0.7564 0.3067 0.4120
32 Te 0.7646 0.1796 0.0676
33 Te 0.8652 0.9516 0.2508
34 Te 0.9160 0.5582 0.1245

Peak list (12 most intense, 10° ≤ 2θ ≤ 80°, in order of rising 2θ)
2theta  Rel. int.
19.61  33
23.42  35
24.28  46
24.58  47
25.08  100
25.79  62
26.08  61
26.31  49
27.37  40
27.89  52
29.06  37
29.76  30

(3)
Calculated powder diffraction line list
Compound: CaAl2Zn2
Radiation: Cu Kα (weighted mean of Kα1 and Kα2)
Structure: a cell relaxed with PBE
No peak broadening, texture or thermal motion is included.

Structure:
Cell: 6.3856 6.3856 6.3856 Å, 142.09 142.09 54.69°
Sites, in units of the cell vectors:
1 Ca 0.0000 0.0000 0.0000
2 Al 0.2500 0.7500 0.5000
3 Al 0.7500 0.2500 0.5000
4 Zn 0.3906 0.3906 0.0000
5 Zn 0.6094 0.6094 0.0000

Peak list (12 most intense, 10° ≤ 2θ ≤ 80°, in order of rising 2θ)
2theta  Rel. int.
22.83  84
30.48  77
32.03  95
34.42  100
43.64  93
44.43  65
45.57  92
49.81  21
55.15  37
63.42  29
64.93  59
74.22  23

(4)
Calculated powder diffraction line list
Compound: Ca2AlZn16
Radiation: Cu Kα (weighted mean of Kα1 and Kα2)
Structure: a cell relaxed with PBE
No peak broadening, texture or thermal motion is included.

Structure:
Cell: 6.8885 6.8885 6.8885 Å, 82.94 82.94 82.94°
Sites, in units of the cell vectors:
1 Ca 0.0000 0.0000 0.0000
2 Ca 0.3261 0.3261 0.3261
3 Al 0.7627 0.7627 0.7627
4 Zn 0.0113 0.0113 0.5030
5 Zn 0.0113 0.5030 0.0113
6 Zn 0.1637 0.6629 0.6628
7 Zn 0.3147 0.3147 0.8233
8 Zn 0.3147 0.8233 0.3147
9 Zn 0.3650 0.6630 0.9606
10 Zn 0.3650 0.9606 0.6630
11 Zn 0.5030 0.0113 0.0113
12 Zn 0.5617 0.5617 0.5617
13 Zn 0.6628 0.1637 0.6628
14 Zn 0.6630 0.3650 0.9606
15 Zn 0.6628 0.6628 0.1637
16 Zn 0.6630 0.9606 0.3650
17 Zn 0.8233 0.3147 0.3147
18 Zn 0.9606 0.3650 0.6630
19 Zn 0.9606 0.6630 0.3650

Peak list (12 most intense, 10° ≤ 2θ ≤ 80°, in order of rising 2θ)
2theta  Rel. int.
19.46  39
34.04  21
35.25  18
39.51  50
39.80  95
40.64  46
40.86  16
44.67  100
45.44  26
57.97  17
71.67  20
73.39  18

(5)
Calculated powder diffraction line list
Compound: Al3Cd
Radiation: Cu Kα (weighted mean of Kα1 and Kα2)
Structure: a cell relaxed with PBE
No peak broadening, texture or thermal motion is included.

Structure:
Cell: 4.2018 4.2018 4.2018 Å, 90.00 90.00 90.00°
Sites, in units of the cell vectors:
1 Al 0.0000 0.0000 0.5000
2 Al 0.0000 0.5000 0.0000
3 Al 0.5000 0.0000 0.0000
4 Cd 0.5000 0.5000 0.5000

Peak list (11 most intense, 10° ≤ 2θ ≤ 80°, in order of rising 2θ)
2theta  Rel. int.
21.14  62
30.08  53
37.06  100
43.06  48
48.44  27
53.41  20
62.52  31
66.79  12
70.93  8
74.97  36
78.93  10

(6)
Calculated powder diffraction line list
Compound: Er2AlCd
Radiation: Cu Kα (weighted mean of Kα1 and Kα2)
Structure: a cell relaxed with PBE
No peak broadening, texture or thermal motion is included.

Structure:
Cell: 5.1478 5.1478 5.1478 Å, 60.00 60.00 60.00°
Sites, in units of the cell vectors:
1 Er 0.2500 0.2500 0.2500
2 Er 0.7500 0.7500 0.7500
3 Al 0.0000 0.0000 0.0000
4 Cd 0.5000 0.5000 0.5000

Peak list (12 most intense, 10° ≤ 2θ ≤ 80°, in order of rising 2θ)
2theta  Rel. int.
21.14  8
24.45  19
34.86  100
41.12  4
43.04  6
50.12  18
54.98  2
56.53  8
62.50  36
66.77  1
73.60  11
78.89  4

(7)
Calculated powder diffraction line list
Compound: Gd3AlCdS7
Radiation: Cu Kα (weighted mean of Kα1 and Kα2)
Structure: a cell relaxed with PBE
No peak broadening, texture or thermal motion is included.

Structure:
Cell: 9.8477 9.8477 6.2525 Å, 90.00 90.00 120.00°
Sites, in units of the cell vectors:
1 Gd 0.1472 0.3808 0.0000
2 Gd 0.2337 0.8528 0.0000
3 Gd 0.3808 0.2337 0.5000
4 Gd 0.6192 0.7663 0.0000
5 Gd 0.7663 0.1472 0.5000
6 Gd 0.8528 0.6192 0.5000
7 Al 0.3333 0.6667 0.4229
8 Al 0.6667 0.3333 0.9229
9 Cd 0.0000 0.0000 0.3037
10 Cd 0.0000 0.0000 0.8037
11 S 0.0967 0.5766 0.2670
12 S 0.1080 0.2582 0.5767
13 S 0.1502 0.8920 0.5767
14 S 0.2582 0.1502 0.0767
15 S 0.3333 0.6667 0.7868
16 S 0.4234 0.5201 0.2670
17 S 0.4799 0.9033 0.2670
18 S 0.5201 0.0967 0.7670
19 S 0.5766 0.4799 0.7670
20 S 0.6667 0.3333 0.2868
21 S 0.7418 0.8498 0.5767
22 S 0.8498 0.1080 0.0767
23 S 0.8920 0.7418 0.0767
24 S 0.9033 0.4234 0.7670

Peak list (12 most intense, 10° ≤ 2θ ≤ 80°, in order of rising 2θ)
2theta  Rel. int.
10.37  35
17.59  56
22.99  32
25.28  100
27.67  72
33.97  42
34.66  44
35.61  64
36.50  49
40.18  40
40.79  34
51.21  32